SrCdCoP: theoretical powder diffractogram (λ = 1.5418 Å (Cu Kα)), based on a cell relaxed with PBE.
Neutral-atom scattering factors, no anomalous dispersion.

Crystal structure
Unit cell a=3.939 b=3.939 c=11.465 alpha=90.00 beta=90.00 gamma=90.00
Positions (direct):
Sr (0.250, 0.250, 0.225)
Sr (0.750, 0.750, 0.775)
Cd (0.250, 0.750, 0.500)
Cd (0.750, 0.250, 0.500)
Co (0.250, 0.750, 0.000)
Co (0.750, 0.250, 0.000)
P (0.250, 0.250, 0.904)
P (0.750, 0.750, 0.096)

Peak list (10 most intense, 10 to 80 degrees two-theta, in order of rising 2θ)
- 15.46°, d = 5.733 Å, intensity 36, (0 0 2)
- 23.89°, d = 3.725 Å, intensity 22, (1 0 1)
- 31.21°, d = 2.866 Å, intensity 29, (0 0 4)
- 32.65°, d = 2.743 Å, intensity 24, (1 0 3)
- 33.10°, d = 2.706 Å, intensity 17, (1 1 1)
- 35.85°, d = 2.505 Å, intensity 100, (1 1 2)
- 46.09°, d = 1.969 Å, intensity 33, (2 0 0)
- 56.71°, d = 1.623 Å, intensity 21, (2 0 4)
- 58.59°, d = 1.576 Å, intensity 23, (1 1 6)
- 78.61°, d = 1.217 Å, intensity 19, (3 1 2)